1.
The following is a computed powder diffraction line list of Na3FeF8. It was derived from a crystal structure in Alexandria, relaxed with PBE+U, using Cu Kα (λ = 1.5418 Å).

Most intense lines, 5 to 70 degrees two-theta, in order of rising 2θ:
two_theta, I_rel
16.58, 43
23.53, 15
28.92, 73
41.36, 4
48.13, 100
51.26, 7
57.13, 27
62.64, 10

Crystal structure
```
Na3FeF8
1.0
5.347 0.000 0.000
0.000 5.347 0.000
0.000 0.000 5.347
Na Fe F
3 1 8
Direct
0.000 0.000 0.500
0.000 0.500 0.000
0.500 0.000 0.000
0.500 0.500 0.500
0.274 0.274 0.274
0.274 0.274 0.726
0.274 0.726 0.274
0.274 0.726 0.726
0.726 0.274 0.274
0.726 0.274 0.726
0.726 0.726 0.274
0.726 0.726 0.726
```

---

2.
The following is a computed powder diffraction line list of Na2Fe3F10. It was derived from a crystal structure in Alexandria, relaxed with PBE+U, using Cu Kα (λ = 1.5418 Å).

Most intense lines, 5 to 70 degrees two-theta, in order of rising 2θ:
two_theta, I_rel
10.21, 58
15.38, 78
25.17, 94
27.89, 61
28.18, 100
28.69, 50
41.42, 65
50.20, 51

Crystal structure
```
Na2Fe3F10
1.0
9.341 -3.055 0.000
9.341 3.055 0.000
-2.847 0.000 7.077
Na Fe F
4 6 20
Direct
0.099 0.099 0.169
0.197 0.197 0.854
0.803 0.803 0.146
0.901 0.901 0.831
0.240 0.760 0.500
0.314 0.314 0.462
0.420 0.420 0.024
0.580 0.580 0.976
0.686 0.686 0.538
0.760 0.240 0.500
0.000 0.500 0.500
0.002 0.002 0.312
0.117 0.601 0.025
0.147 0.616 0.439
0.255 0.255 0.205
0.290 0.710 0.000
0.370 0.370 0.741
0.384 0.853 0.561
0.399 0.883 0.975
0.479 0.479 0.299
0.500 0.000 0.500
0.521 0.521 0.701
0.601 0.117 0.025
0.616 0.147 0.439
0.630 0.630 0.259
0.710 0.290 0.000
0.745 0.745 0.795
0.853 0.384 0.561
0.883 0.399 0.975
0.998 0.998 0.688
```

---

3.
The following is a computed powder diffraction line list of NaFe3F9. It was derived from a crystal structure in Alexandria, relaxed with PBE+U, using Cu Kα (λ = 1.5418 Å).

Most intense lines, 5 to 70 degrees two-theta, in order of rising 2θ:
two_theta, I_rel
19.00, 32
20.04, 75
23.40, 100
26.31, 81
27.83, 38
31.00, 33
39.24, 30
47.87, 36

Crystal structure
```
NaFe3F9
1.0
5.449 0.000 0.000
0.000 7.603 0.000
-0.475 0.000 8.274
Na Fe F
2 6 18
Direct
0.039 0.250 0.442
0.961 0.750 0.558
0.000 0.000 0.000
0.000 0.500 0.000
0.468 0.002 0.689
0.468 0.498 0.689
0.532 0.502 0.311
0.532 0.998 0.311
0.096 0.250 0.981
0.151 0.557 0.797
0.151 0.943 0.797
0.266 0.543 0.477
0.266 0.957 0.477
0.309 0.551 0.121
0.309 0.949 0.121
0.354 0.250 0.667
0.425 0.250 0.305
0.575 0.750 0.695
0.646 0.750 0.333
0.691 0.051 0.879
0.691 0.449 0.879
0.734 0.043 0.523
0.734 0.457 0.523
0.849 0.057 0.203
0.849 0.443 0.203
0.904 0.750 0.019
```